# YCuNi
Theoretical powder diffractogram, Cu Kα, 1.54184 Å. Input: a GGA-PBE-relaxed structure.

Structure:
```
YCuNi
1.0
4.149 0.000 0.000
-2.075 3.593 0.000
0.000 0.000 3.598
Y Cu Ni
1 1 1
Direct
0.000 0.000 0.000
0.667 0.333 0.500
0.333 0.667 0.500
```

Main lines, low angle first (2θ from 15° to 90°):
2θ/deg  Rel. int.
35.3  100
43.6  55
50.8  14
57.3  24
69.1  26
74.7  21
80.1  8
85.3  7

# Rb3Ce2F8
Theoretical powder diffractogram, Cu Kα, 1.54184 Å. Input: a GGA-PBE-relaxed structure.

Structure:
```
Rb3Ce2F8
1.0
4.255 -6.704 0.000
4.255 6.704 0.000
0.000 0.000 4.258
Rb Ce F
3 2 8
Direct
0.000 0.000 0.000
0.297 0.297 0.500
0.703 0.703 0.500
0.257 0.743 0.000
0.743 0.257 0.000
0.093 0.391 0.000
0.137 0.863 0.500
0.341 0.659 0.500
0.391 0.093 0.000
0.609 0.907 0.000
0.659 0.341 0.500
0.863 0.137 0.500
0.907 0.609 0.000
```

Main lines, low angle first (2θ from 15° to 90°):
2θ/deg  Rel. int.
20.9  26
24.8  100
26.6  27
29.7  31
40.3  89
42.5  39
49.8  22
76.2  18

# La2TbPm4Sm
Theoretical powder diffractogram, Cu Kα, 1.54184 Å. Input: a GGA-PBE-relaxed structure.

Structure:
```
La2TbPm4Sm
1.0
5.172 0.000 0.000
0.000 5.181 0.000
-0.026 0.000 10.381
La Tb Pm Sm
2 1 4 1
Direct
0.000 0.000 0.000
0.500 0.500 0.500
0.000 0.000 0.500
0.000 0.500 0.251
0.000 0.500 0.749
0.499 0.000 0.749
0.501 0.000 0.251
0.500 0.500 0.000
```

Main lines, low angle first (2θ from 15° to 90°):
2θ/deg  Rel. int.
29.9  100
34.6  34
34.7  17
49.7  18
49.8  18
59.1  15
59.2  22
80.8  9